Diffraction record for Nd5Pu3N8. The XRD peak list is calculated, not measured: it uses a structure optimized by DFT (GGA-PBE) and Cu Kα (λ = 1.5418 Å).
Intensities are scaled so that the largest is 100.

Atomic structure:
```
data_Nd5Pu3N8
_cell_length_a 7.1565
_cell_length_b 7.1565
_cell_length_c 17.4974
_cell_angle_alpha 90.00
_cell_angle_beta 90.00
_cell_angle_gamma 120.00
_symmetry_space_group_name_H-M 'R -3 m'
_symmetry_Int_Tables_number 166
_symmetry_space_group_name_Hall '-R 3 2"'
loop_
_atom_site_label
_atom_site_type_symbol
_atom_site_fract_x
_atom_site_fract_y
_atom_site_fract_z
Nd1 Nd 0.0000 0.0000 0.0000
Nd2 Nd 0.0000 0.0000 0.5000
Nd3 Nd 0.0000 0.5000 0.0000
Pu1 Pu 0.0000 0.5000 0.5000
N1 N 0.0000 0.0000 0.2419
N2 N 0.0128 0.5064 0.7565
```

Principal peaks in the range 15 to 90 degrees two-theta, in order of falling intensity:
2θ/deg  I_rel  (hkl)
30.62  100.0  0 0 6
35.50  69.2  0 2 4
51.08  48.6  2 2 0
60.74  46.2  0 2 10
83.25  14.7  4 0 10
63.72  12.4  4 0 4
85.90  11.1  2 4 4
86.01  10.9  2 2 12
75.14  7.6  0 4 8
15.18  7.6  0 0 3